1.
Starting from a DFT-relaxed cell (PBE, the Materials Project), the powder diffraction line list of MoW3Se2S6 was computed for copper Kα.

Most intense lines, 2θ from 10° to 80°, in order of falling intensity:
two_theta  d [Å]  intensity
12.28  7.207  100
37.92  2.373  55
46.15  1.967  31
32.09  2.789  28
14.75  6.006  25
57.18  1.611  19

```
data_MoW3Se2S6
_chemical_formula_sum 'Mo1 W3 Se2 S6'
_space_group_name_H-M_alt 'P 3 m 1'
_space_group_IT_number 156
_cell_length_a 3.2229
_cell_length_b 3.2229
_cell_length_c 36.0330
_cell_angle_alpha 90.00
_cell_angle_beta 90.00
_cell_angle_gamma 120.00
loop_
_space_group_symop_operation_xyz
'x,y,z'
'-y,x-y,z'
'-x+y,-x,z'
'-y,-x,z'
'-x+y,y,z'
'x,x-y,z'
loop_
_atom_site_label
_atom_site_type_symbol
_atom_site_fract_x
_atom_site_fract_y
_atom_site_fract_z
Mo1 Mo 0.0000 0.0000 0.0000
W1 W 0.0000 0.0000 0.3758
W2 W 0.3333 0.6667 0.1879
W3 W 0.3333 0.6667 0.5637
Se1 Se 0.3333 0.6667 0.3280
Se2 Se 0.3333 0.6667 0.4235
S1 S 0.0000 0.0000 0.1446
S2 S 0.0000 0.0000 0.2312
S3 S 0.0000 0.0000 0.5203
S4 S 0.0000 0.0000 0.6070
S5 S 0.3333 0.6667 0.0431
S6 S 0.3333 0.6667 0.9568
```

***

2.
Starting from a DFT-relaxed cell (PBE, the Materials Project), the powder diffraction line list of RbUAsO9 was computed for copper Kα.

Most intense lines, 2θ from 10° to 80°, in order of falling intensity:
two_theta  d [Å]  intensity
24.66  3.610  100
10.63  8.320  67
26.58  3.354  57
26.92  3.312  41
16.12  5.500  33
17.07  5.194  27

```
data_RbUAsO9
_chemical_formula_sum 'Rb4 U4 As4 O36'
_space_group_name_H-M_alt 'P 1 2/c 1'
_space_group_IT_number 13
_cell_length_a 7.221
_cell_length_b 16.640
_cell_length_c 10.189
_cell_angle_alpha 90.00
_cell_angle_beta 134.01
_cell_angle_gamma 90.00
loop_
_space_group_symop_operation_xyz
'x,y,z'
'-x,-y,-z'
'-x,y,-z+1/2'
'x,-y,z+1/2'
loop_
_atom_site_label
_atom_site_type_symbol
_atom_site_fract_x
_atom_site_fract_y
_atom_site_fract_z
Rb1 Rb 0.108 0.210 0.011
U1 U 0.000 0.051 0.250
U2 U 0.000 0.439 0.750
As1 As 0.500 0.003 0.750
As2 As 0.500 0.497 0.250
O1 O 0.000 0.060 0.750
O2 O 0.000 0.160 0.250
O3 O 0.000 0.325 0.750
O4 O 0.000 0.452 0.250
O5 O 0.263 0.314 0.477
O6 O 0.289 0.060 0.226
O7 O 0.296 0.441 0.737
O8 O 0.314 0.309 0.385
O9 O 0.323 0.436 0.060
O10 O 0.330 0.062 0.559
O11 O 0.366 0.204 0.864
```